No. 1
Mn2CuSb2Pt: simulated X-ray diffraction stick pattern (Cu Kα, 1.54184 Å), based on a DFT-relaxed cell (GGA-PBE, the Materials Project).
Lines closer than 0.1° are merged.

Principal peaks in the range 2θ from 5° to 70°, sorted by position:
| Position (°2θ) | d_spacing | I_rel |
| --- | --- | --- |
| 12.4 | 7.149 | 10 |
| 23.8 | 3.738 | 8 |
| 24.9 | 3.578 | 57 |
| 31.5 | 2.843 | 5 |
| 41.2 | 2.191 | 100 |
| 48.7 | 1.868 | 28 |
| 59.7 | 1.549 | 16 |
| 65.7 | 1.422 | 11 |

Cell and atoms:
a b c (Å): 7.5835 7.5835 7.5835
angles (deg): 33.60 33.60 33.60
Fractional positions:
Mn 0.0000 0.0000 0.0000
Mn 0.4989 0.4989 0.4989
Cu 0.1248 0.1248 0.1248
Sb 0.2471 0.2471 0.2471
Sb 0.7514 0.7514 0.7514
Pt 0.6240 0.6240 0.6240

***

No. 2
KGe: simulated X-ray diffraction stick pattern (Cu Kα, 1.54184 Å), based on a DFT-relaxed cell (GGA-PBE, the Materials Project).
Lines closer than 0.1° are merged.

Principal peaks in the range 2θ from 5° to 70°, sorted by position:
| Position (°2θ) | d_spacing | I_rel |
| --- | --- | --- |
| 22.6 | 3.938 | 15 |
| 26.1 | 3.410 | 100 |
| 37.3 | 2.411 | 76 |
| 44.0 | 2.056 | 9 |
| 46.1 | 1.969 | 27 |
| 53.8 | 1.705 | 12 |
| 60.7 | 1.525 | 34 |
| 67.2 | 1.392 | 24 |

Cell and atoms:
a b c (Å): 4.8226 4.8226 4.8226
angles (deg): 60.00 60.00 60.00
Fractional positions:
K 0.0000 0.0000 0.0000
Ge 0.5000 0.5000 0.5000

***

No. 3
ErH: simulated X-ray diffraction stick pattern (Cu Kα, 1.54184 Å), based on a DFT-relaxed cell (GGA-PBE, the Materials Project).
Lines closer than 0.1° are merged.

Principal peaks in the range 2θ from 5° to 70°, sorted by position:
| Position (°2θ) | d_spacing | I_rel |
| --- | --- | --- |
| 31.8 | 2.813 | 100 |
| 36.9 | 2.436 | 52 |
| 53.2 | 1.722 | 37 |
| 63.3 | 1.469 | 43 |
| 66.5 | 1.406 | 12 |

Cell and atoms:
a b c (Å): 3.4448 3.4448 3.4448
angles (deg): 60.00 60.00 60.00
Fractional positions:
Er 0.0000 0.0000 0.0000
H 0.5000 0.5000 0.5000

***

No. 4
Na5LaO4: simulated X-ray diffraction stick pattern (Cu Kα, 1.54184 Å), based on a DFT-relaxed cell (GGA-PBE, the Materials Project).
Lines closer than 0.1° are merged.

Principal peaks in the range 2θ from 5° to 70°, sorted by position:
| Position (°2θ) | d_spacing | I_rel |
| --- | --- | --- |
| 15.9 | 5.582 | 98 |
| 19.2 | 4.630 | 85 |
| 19.5 | 4.541 | 49 |
| 29.5 | 3.029 | 42 |
| 30.2 | 2.955 | 100 |
| 32.1 | 2.791 | 35 |
| 36.8 | 2.442 | 68 |
| 45.8 | 1.982 | 72 |

Cell and atoms:
a b c (Å): 7.6766 8.1308 5.6323
angles (deg): 90.00 90.00 90.00
Fractional positions:
Na 0.0095 0.0590 0.2476
Na 0.0095 0.4410 0.2476
Na 0.2500 0.7500 0.2823
Na 0.4905 0.0590 0.2476
Na 0.4905 0.4410 0.2476
Na 0.5095 0.5590 0.7524
Na 0.5095 0.9410 0.7524
Na 0.7500 0.2500 0.7177
Na 0.9905 0.5590 0.7524
Na 0.9905 0.9410 0.7524
La 0.2500 0.2500 0.7219
La 0.7500 0.7500 0.2781
O 0.0064 0.2500 0.9435
O 0.2500 0.0092 0.5038
O 0.2500 0.4908 0.5038
O 0.4936 0.2500 0.9435
O 0.5064 0.7500 0.0565
O 0.7500 0.5092 0.4962
O 0.7500 0.9908 0.4962
O 0.9936 0.7500 0.0565

***

Please write out number 2 again, unchanged.
KGe: simulated X-ray diffraction stick pattern (Cu Kα, 1.54184 Å), based on a DFT-relaxed cell (GGA-PBE, the Materials Project).
Lines closer than 0.1° are merged.

Principal peaks in the range 2θ from 5° to 70°, sorted by position:
| Position (°2θ) | d_spacing | I_rel |
| --- | --- | --- |
| 22.6 | 3.938 | 15 |
| 26.1 | 3.410 | 100 |
| 37.3 | 2.411 | 76 |
| 44.0 | 2.056 | 9 |
| 46.1 | 1.969 | 27 |
| 53.8 | 1.705 | 12 |
| 60.7 | 1.525 | 34 |
| 67.2 | 1.392 | 24 |

Cell and atoms:
a b c (Å): 4.8226 4.8226 4.8226
angles (deg): 60.00 60.00 60.00
Fractional positions:
K 0.0000 0.0000 0.0000
Ge 0.5000 0.5000 0.5000

***

What did the third record say?
ErH: simulated X-ray diffraction stick pattern (Cu Kα, 1.54184 Å), based on a DFT-relaxed cell (GGA-PBE, the Materials Project).
Lines closer than 0.1° are merged.

Principal peaks in the range 2θ from 5° to 70°, sorted by position:
| Position (°2θ) | d_spacing | I_rel |
| --- | --- | --- |
| 31.8 | 2.813 | 100 |
| 36.9 | 2.436 | 52 |
| 53.2 | 1.722 | 37 |
| 63.3 | 1.469 | 43 |
| 66.5 | 1.406 | 12 |

Cell and atoms:
a b c (Å): 3.4448 3.4448 3.4448
angles (deg): 60.00 60.00 60.00
Fractional positions:
Er 0.0000 0.0000 0.0000
H 0.5000 0.5000 0.5000

***

Copy entry 3 word for word.
ErH: simulated X-ray diffraction stick pattern (Cu Kα, 1.54184 Å), based on a DFT-relaxed cell (GGA-PBE, the Materials Project).
Lines closer than 0.1° are merged.

Principal peaks in the range 2θ from 5° to 70°, sorted by position:
| Position (°2θ) | d_spacing | I_rel |
| --- | --- | --- |
| 31.8 | 2.813 | 100 |
| 36.9 | 2.436 | 52 |
| 53.2 | 1.722 | 37 |
| 63.3 | 1.469 | 43 |
| 66.5 | 1.406 | 12 |

Cell and atoms:
a b c (Å): 3.4448 3.4448 3.4448
angles (deg): 60.00 60.00 60.00
Fractional positions:
Er 0.0000 0.0000 0.0000
H 0.5000 0.5000 0.5000